Computed X-ray diffraction stick pattern
Compound: SrTl2Fe3F12
Radiation: Cu Kα X-rays
Structure: a GGA+U-relaxed structure
No peak broadening, texture or thermal motion is included.

Top 6 peaks for 10 to 90 degrees two-theta, in order of rising 2θ:
d_spacing, I (rel.)
3.852, 65.8
3.619, 53.8
3.275, 58.1
3.199, 100.0
3.062, 42.0
1.926, 44.9

```
data_SrTl2Fe3F12
_cell_length_a 7.7046
_cell_length_b 7.7046
_cell_length_c 17.2326
_cell_angle_alpha 90.00
_cell_angle_beta 90.00
_cell_angle_gamma 120.00
_symmetry_space_group_name_H-M 'R -3 m'
_symmetry_Int_Tables_number 166
_symmetry_space_group_name_Hall '-R 3 2"'
loop_
_atom_site_label
_atom_site_fract_x
_atom_site_fract_y
_atom_site_fract_z
Sr1 0.0000 0.0000 0.0000
Tl1 0.0000 0.0000 0.3776
Fe1 0.0000 0.5000 0.5000
F1 0.0240 0.5120 0.3868
F2 0.0894 0.5447 0.8183
```